Diffraction record for MgTi2O4. The powder XRD pattern is theoretical, not measured: it uses the PBE geometry in the Materials Project and λ = 1.5418 Å (Cu Kα).

Structural model:
Cell lengths 8.542, 8.542, 8.542 Å; angles 90.00, 90.00, 90.00 degrees
Space group Fd-3m (No. 227, origin choice 2)
Inequivalent atoms, fractional coordinates:
Mg 0.125 0.125 0.125 [8 per cell]
Ti 0.000 0.000 0.500 [16 per cell]
O 0.008 0.008 0.742 [32 per cell]

Principal peaks in the range 2θ = 10–90°, by angle:
h k l, two_theta, intensity
1 1 1, 18.0, 57
3 1 1, 34.8, 100
4 0 0, 42.3, 59
5 1 1, 55.9, 38
4 4 0, 61.4, 62
5 5 3, 87.8, 16



Diffraction record for FeH8C4S4N6. The powder XRD pattern is theoretical, not measured: it uses the PBE geometry in the Materials Project and λ = 1.5418 Å (Cu Kα).

Structural model:
```
data_FeH8C4S4N6
_cell_length_a 3.941
_cell_length_b 7.742
_cell_length_c 10.276
_cell_angle_alpha 93.47
_cell_angle_beta 98.71
_cell_angle_gamma 101.87
_space_group_name_H-M_alt 'P -1'
_space_group_IT_number 2
_space_group_name_Hall '-P 1'
loop_
_atom_site_label
_atom_site_type_symbol
_atom_site_fract_x
_atom_site_fract_y
_atom_site_fract_z
Fe1 Fe 0.000 0.000 0.000
H1 H 0.333 0.483 0.703
H2 H 0.393 0.523 0.875
H3 H 0.397 0.930 0.282
H4 H 0.457 0.217 0.609
C1 C 0.065 0.185 0.288
C2 C 0.498 0.288 0.809
S1 S 0.022 0.295 0.421
S2 S 0.413 0.776 0.033
N1 N 0.092 0.103 0.189
N2 N 0.395 0.440 0.794
N3 N 0.471 0.813 0.296
```

Principal peaks in the range 2θ = 10–90°, by angle:
h k l, two_theta, intensity
0 1 1, 15.3, 39
0 1 2, 22.1, 40
1 -1 1, 26.4, 46
1 1 -1, 28.3, 100
1 -2 1, 31.3, 45
1 -3 0, 38.4, 36



Diffraction record for Nb8N5. The powder XRD pattern is theoretical, not measured: it uses the PBE geometry in the Materials Project and λ = 1.5418 Å (Cu Kα).

Structural model:
```
data_Nb8N5
_cell_length_a 4.383
_cell_length_b 4.383
_cell_length_c 8.799
_cell_angle_alpha 90.00
_cell_angle_beta 90.00
_cell_angle_gamma 90.00
_space_group_name_H-M_alt 'P 4/m m m'
_space_group_IT_number 123
_space_group_name_Hall '-P 4 2'
loop_
_atom_site_label
_atom_site_type_symbol
_atom_site_fract_x
_atom_site_fract_y
_atom_site_fract_z
Nb1 Nb 0.000 0.000 0.248
Nb2 Nb 0.000 0.500 0.000
Nb3 Nb 0.000 0.500 0.500
Nb4 Nb 0.500 0.500 0.248
N1 N 0.000 0.000 0.500
N2 N 0.000 0.500 0.251
```

Principal peaks in the range 2θ = 10–90°, by angle:
h k l, two_theta, intensity
1 1 2, 35.4, 100
0 0 4, 41.0, 23
2 0 0, 41.2, 46
2 0 4, 59.5, 29
2 2 0, 59.7, 15
3 1 2, 71.3, 26



Diffraction record for LaEu2SbO6. The powder XRD pattern is theoretical, not measured: it uses the PBE geometry in the Materials Project and λ = 1.5418 Å (Cu Kα).

Structural model:
```
data_LaEu2SbO6
_cell_length_a 8.539
_cell_length_b 8.539
_cell_length_c 8.539
_cell_angle_alpha 90.00
_cell_angle_beta 90.00
_cell_angle_gamma 90.00
_space_group_name_H-M_alt 'P n -3'
_space_group_IT_number 201
loop_
_space_group_symop_operation_xyz
'x,y,z'
'-x,-y,-z'
'-x+1/2,-y+1/2,z'
'x+1/2,y+1/2,-z'
'x,-y+1/2,-z+1/2'
'-x,y+1/2,z+1/2'
'-x+1/2,y,-z+1/2'
'x+1/2,-y,z+1/2'
'z,x,y'
'-z,-x,-y'
'z,-x+1/2,-y+1/2'
'-z,x+1/2,y+1/2'
'-z+1/2,x,-y+1/2'
'z+1/2,-x,y+1/2'
'-z+1/2,-x+1/2,y'
'z+1/2,x+1/2,-y'
'y,z,x'
'-y,-z,-x'
'-y+1/2,z,-x+1/2'
'y+1/2,-z,x+1/2'
'-y+1/2,-z+1/2,x'
'y+1/2,z+1/2,-x'
'y,-z+1/2,-x+1/2'
'-y,z+1/2,x+1/2'
loop_
_atom_site_label
_atom_site_type_symbol
_atom_site_fract_x
_atom_site_fract_y
_atom_site_fract_z
La1 La 0.000 0.000 0.000
Eu1 Eu 0.250 0.250 0.250
Eu2 Eu 0.250 0.250 0.750
Sb1 Sb 0.000 0.000 0.500
O1 O 0.038 0.548 0.771
```

Principal peaks in the range 2θ = 10–90°, by angle:
h k l, two_theta, intensity
2 2 0, 29.6, 100
4 0 0, 42.3, 26
4 2 2, 52.5, 44
4 4 0, 61.4, 15
6 2 0, 69.6, 18
6 2 4, 85.0, 23



Repeat the third record exactly.
Diffraction record for Nb8N5. The powder XRD pattern is theoretical, not measured: it uses the PBE geometry in the Materials Project and λ = 1.5418 Å (Cu Kα).

Structural model:
```
data_Nb8N5
_cell_length_a 4.383
_cell_length_b 4.383
_cell_length_c 8.799
_cell_angle_alpha 90.00
_cell_angle_beta 90.00
_cell_angle_gamma 90.00
_space_group_name_H-M_alt 'P 4/m m m'
_space_group_IT_number 123
_space_group_name_Hall '-P 4 2'
loop_
_atom_site_label
_atom_site_type_symbol
_atom_site_fract_x
_atom_site_fract_y
_atom_site_fract_z
Nb1 Nb 0.000 0.000 0.248
Nb2 Nb 0.000 0.500 0.000
Nb3 Nb 0.000 0.500 0.500
Nb4 Nb 0.500 0.500 0.248
N1 N 0.000 0.000 0.500
N2 N 0.000 0.500 0.251
```

Principal peaks in the range 2θ = 10–90°, by angle:
h k l, two_theta, intensity
1 1 2, 35.4, 100
0 0 4, 41.0, 23
2 0 0, 41.2, 46
2 0 4, 59.5, 29
2 2 0, 59.7, 15
3 1 2, 71.3, 26



> What is the formula in the second record?

FeH8C4S4N6



Please write out number 1 again, unchanged.
Diffraction record for MgTi2O4. The powder XRD pattern is theoretical, not measured: it uses the PBE geometry in the Materials Project and λ = 1.5418 Å (Cu Kα).

Structural model:
Cell lengths 8.542, 8.542, 8.542 Å; angles 90.00, 90.00, 90.00 degrees
Space group Fd-3m (No. 227, origin choice 2)
Inequivalent atoms, fractional coordinates:
Mg 0.125 0.125 0.125 [8 per cell]
Ti 0.000 0.000 0.500 [16 per cell]
O 0.008 0.008 0.742 [32 per cell]

Principal peaks in the range 2θ = 10–90°, by angle:
h k l, two_theta, intensity
1 1 1, 18.0, 57
3 1 1, 34.8, 100
4 0 0, 42.3, 59
5 1 1, 55.9, 38
4 4 0, 61.4, 62
5 5 3, 87.8, 16



Please write out number 2 again, unchanged.
Diffraction record for FeH8C4S4N6. The powder XRD pattern is theoretical, not measured: it uses the PBE geometry in the Materials Project and λ = 1.5418 Å (Cu Kα).

Structural model:
```
data_FeH8C4S4N6
_cell_length_a 3.941
_cell_length_b 7.742
_cell_length_c 10.276
_cell_angle_alpha 93.47
_cell_angle_beta 98.71
_cell_angle_gamma 101.87
_space_group_name_H-M_alt 'P -1'
_space_group_IT_number 2
_space_group_name_Hall '-P 1'
loop_
_atom_site_label
_atom_site_type_symbol
_atom_site_fract_x
_atom_site_fract_y
_atom_site_fract_z
Fe1 Fe 0.000 0.000 0.000
H1 H 0.333 0.483 0.703
H2 H 0.393 0.523 0.875
H3 H 0.397 0.930 0.282
H4 H 0.457 0.217 0.609
C1 C 0.065 0.185 0.288
C2 C 0.498 0.288 0.809
S1 S 0.022 0.295 0.421
S2 S 0.413 0.776 0.033
N1 N 0.092 0.103 0.189
N2 N 0.395 0.440 0.794
N3 N 0.471 0.813 0.296
```

Principal peaks in the range 2θ = 10–90°, by angle:
h k l, two_theta, intensity
0 1 1, 15.3, 39
0 1 2, 22.1, 40
1 -1 1, 26.4, 46
1 1 -1, 28.3, 100
1 -2 1, 31.3, 45
1 -3 0, 38.4, 36